No. 1
Calculated X-ray powder pattern of HfZr2Ga3 for Cu Kα, from the PBE geometry in Alexandria.

Peak list (12 most intense, 15° ≤ 2θ ≤ 90°, by angle)
d 4.038, 2θ = 22.0°, intensity 11.2
d 2.441, 2θ = 36.8°, intensity 100.0
d 2.428, 2θ = 37.0°, intensity 98.5
d 2.165, 2θ = 41.7°, intensity 35.1
d 2.150, 2θ = 42.0°, intensity 34.9
d 2.019, 2θ = 44.9°, intensity 29.8
d 1.532, 2θ = 60.4°, intensity 11.5
d 1.477, 2θ = 62.9°, intensity 20.3
d 1.472, 2θ = 63.2°, intensity 20.1
d 1.299, 2θ = 72.8°, intensity 13.1
d 1.293, 2θ = 73.2°, intensity 26.1
d 1.287, 2θ = 73.6°, intensity 12.7

Atomic structure:
a = 4.3010 Å, b = 8.0761 Å, c = 6.8243 Å
α = 90.00°, β = 107.88°, γ = 90.00°
Element x y z (fractional)
Hf: 0.1677 0.0000 0.3349
Hf: 0.8323 0.0000 0.6651
Zr: 0.1668 0.5000 0.3336
Zr: 0.5000 0.0000 0.0000
Zr: 0.5000 0.5000 0.0000
Zr: 0.8332 0.5000 0.6664
Ga: 0.0000 0.2487 0.0000
Ga: 0.0000 0.7513 0.0000
Ga: 0.3328 0.2484 0.6652
Ga: 0.3328 0.7516 0.6652
Ga: 0.6672 0.2484 0.3348
Ga: 0.6672 0.7516 0.3348

No. 2
Calculated X-ray powder pattern of CaTi2Zn2P2O10 for Cu Kα, from the PBE geometry in Alexandria.

Peak list (12 most intense, 15° ≤ 2θ ≤ 90°, by angle)
d 5.194, 2θ = 17.1°, intensity 100.0
d 3.395, 2θ = 26.3°, intensity 53.0
d 2.953, 2θ = 30.3°, intensity 79.9
d 2.927, 2θ = 30.5°, intensity 87.6
d 2.906, 2θ = 30.8°, intensity 77.1
d 2.709, 2θ = 33.1°, intensity 55.7
d 2.679, 2θ = 33.4°, intensity 37.5
d 2.634, 2θ = 34.0°, intensity 77.9
d 2.445, 2θ = 36.8°, intensity 53.6
d 2.423, 2θ = 37.1°, intensity 74.9
d 2.401, 2θ = 37.5°, intensity 36.8
d 2.349, 2θ = 38.3°, intensity 65.9

Atomic structure:
a = 5.5225 Å, b = 6.1352 Å, c = 7.1961 Å
α = 104.83°, β = 104.42°, γ = 108.38°
Element x y z (fractional)
Ca: 0.0000 0.0000 0.0000
Ti: 0.5712 0.4156 0.9568
Ti: 0.9821 0.9646 0.4821
Zn: 0.1020 0.5673 0.1967
Zn: 0.9685 0.4232 0.7983
P: 0.4799 0.8062 0.6810
P: 0.4977 0.1454 0.3209
O: 0.1756 0.1919 0.7890
O: 0.1920 0.7419 0.5265
O: 0.3105 0.1825 0.4454
O: 0.3578 0.8779 0.1660
O: 0.4694 0.6365 0.8068
O: 0.4909 0.3121 0.1922
O: 0.6051 0.0746 0.8394
O: 0.6837 0.7833 0.5704
O: 0.7927 0.2046 0.4617
O: 0.8238 0.7537 0.2035

No. 3
Calculated X-ray powder pattern of GaHgGe for Cu Kα, from the PBE geometry in Alexandria.

Peak list (12 most intense, 15° ≤ 2θ ≤ 90°, by angle)
d 3.391, 2θ = 26.3°, intensity 100.0
d 2.987, 2θ = 29.9°, intensity 98.4
d 2.948, 2θ = 30.3°, intensity 74.2
d 2.653, 2θ = 33.8°, intensity 77.9
d 2.225, 2θ = 40.5°, intensity 91.8
d 2.167, 2θ = 41.7°, intensity 44.4
d 2.129, 2θ = 42.5°, intensity 42.2
d 1.803, 2θ = 50.6°, intensity 33.5
d 1.746, 2θ = 52.4°, intensity 32.4
d 1.674, 2θ = 54.8°, intensity 34.0
d 1.519, 2θ = 61.0°, intensity 28.7
d 1.316, 2θ = 71.7°, intensity 30.5

Atomic structure:
a = 8.4509 Å, b = 8.4509 Å, c = 4.2586 Å
α = 90.00°, β = 90.00°, γ = 150.28°
Element x y z (fractional)
Ga: 0.1200 0.8800 0.7500
Ga: 0.8800 0.1200 0.2500
Hg: 0.2214 0.7786 0.2500
Hg: 0.7786 0.2214 0.7500
Ge: 0.4567 0.5433 0.2500
Ge: 0.5433 0.4567 0.7500

No. 4
Calculated X-ray powder pattern of Rb2BaIrBr6 for Cu Kα, from the PBE geometry in Alexandria.

Peak list (12 most intense, 15° ≤ 2θ ≤ 90°, by angle)
d 5.624, 2θ = 15.8°, intensity 62.7
d 4.110, 2θ = 21.6°, intensity 67.1
d 3.977, 2θ = 22.4°, intensity 32.6
d 3.318, 2θ = 26.9°, intensity 37.5
d 3.011, 2θ = 29.7°, intensity 64.4
d 2.812, 2θ = 31.8°, intensity 100.0
d 2.654, 2θ = 33.8°, intensity 18.7
d 2.321, 2θ = 38.8°, intensity 23.8
d 2.055, 2θ = 44.1°, intensity 79.1
d 1.988, 2θ = 45.6°, intensity 33.3
d 1.659, 2θ = 55.4°, intensity 36.8
d 1.327, 2θ = 71.0°, intensity 21.2

Atomic structure:
a = 8.2393 Å, b = 8.2393 Å, c = 8.2393 Å
α = 122.28°, β = 122.28°, γ = 86.09°
Element x y z (fractional)
Rb: 0.2500 0.7500 0.5000
Rb: 0.7500 0.2500 0.5000
Ba: 0.0000 0.0000 0.0000
Ir: 0.5000 0.5000 0.0000
Br: 0.2610 0.2610 0.0000
Br: 0.2776 0.2776 0.5553
Br: 0.2776 0.7224 0.0000
Br: 0.7224 0.2776 0.0000
Br: 0.7224 0.7224 0.4447
Br: 0.7390 0.7390 0.0000

No. 5
Calculated X-ray powder pattern of V4Re3Tc2 for Cu Kα, from the PBE geometry in Alexandria.

Peak list (12 most intense, 15° ≤ 2θ ≤ 90°, by angle)
d 3.966, 2θ = 22.4°, intensity 9.8
d 3.372, 2θ = 26.4°, intensity 44.9
d 2.715, 2θ = 33.0°, intensity 18.7
d 2.156, 2θ = 41.9°, intensity 100.0
d 2.151, 2θ = 42.0°, intensity 99.1
d 1.891, 2θ = 48.1°, intensity 8.6
d 1.813, 2θ = 50.3°, intensity 8.4
d 1.523, 2θ = 60.8°, intensity 32.6
d 1.458, 2θ = 63.8°, intensity 5.8
d 1.386, 2θ = 67.6°, intensity 7.3
d 1.246, 2θ = 76.5°, intensity 16.3
d 1.242, 2θ = 76.7°, intensity 49.0

Atomic structure:
a = 4.3015 Å, b = 4.3015 Å, c = 7.9313 Å
α = 90.00°, β = 90.00°, γ = 120.00°
Element x y z (fractional)
V: 0.0000 0.0000 0.1688
V: 0.0000 0.0000 0.8312
V: 0.3333 0.6667 0.3899
V: 0.6667 0.3333 0.6101
Re: 0.0000 0.0000 0.5000
Re: 0.3333 0.6667 0.0588
Re: 0.6667 0.3333 0.9412
Tc: 0.3333 0.6667 0.7193
Tc: 0.6667 0.3333 0.2807

No. 6
Calculated X-ray powder pattern of Y15Ni32 for Cu Kα, from the PBE geometry in Alexandria.

Peak list (12 most intense, 15° ≤ 2θ ≤ 90°, by angle)
d 2.761, 2θ = 32.4°, intensity 10.6
d 2.536, 2θ = 35.4°, intensity 34.4
d 2.391, 2θ = 37.6°, intensity 3.7
d 2.163, 2θ = 41.8°, intensity 100.0
d 2.071, 2θ = 43.7°, intensity 40.8
d 1.793, 2θ = 50.9°, intensity 4.2
d 1.464, 2θ = 63.5°, intensity 8.4
d 1.387, 2θ = 67.5°, intensity 4.8
d 1.380, 2θ = 67.9°, intensity 23.9
d 1.268, 2θ = 74.9°, intensity 21.3
d 1.253, 2θ = 75.9°, intensity 3.7
d 1.094, 2θ = 89.6°, intensity 10.6

Atomic structure:
a = 10.1442 Å, b = 10.1442 Å, c = 10.1442 Å
α = 60.00°, β = 60.00°, γ = 60.00°
Element x y z (fractional)
Y: 0.0000 0.0000 0.0000
Y: 0.0134 0.0134 0.4866
Y: 0.0134 0.4866 0.0134
Y: 0.0134 0.4866 0.4866
Y: 0.3809 0.8730 0.8730
Y: 0.4017 0.4017 0.4017
Y: 0.4017 0.4017 0.7948
Y: 0.4017 0.7948 0.4017
Y: 0.4866 0.0134 0.0134
Y: 0.4866 0.0134 0.4866
Y: 0.4866 0.4866 0.0134
Y: 0.7948 0.4017 0.4017
Y: 0.8730 0.3809 0.8730
Y: 0.8730 0.8730 0.3809
Y: 0.8730 0.8730 0.8730
Ni: 0.1734 0.4409 0.6929
Ni: 0.1734 0.6929 0.4409
Ni: 0.1734 0.6929 0.6929
Ni: 0.1884 0.1884 0.1884
Ni: 0.1884 0.1884 0.4348
Ni: 0.1876 0.1876 0.6878
Ni: 0.1876 0.1876 0.9371
Ni: 0.1884 0.4348 0.1884
Ni: 0.1876 0.6878 0.1876
Ni: 0.1876 0.6878 0.9371
Ni: 0.1876 0.9371 0.1876
Ni: 0.1876 0.9371 0.6878
Ni: 0.4348 0.1884 0.1884
Ni: 0.4409 0.1734 0.6929
Ni: 0.4409 0.6929 0.1734
Ni: 0.4409 0.6929 0.6929
Ni: 0.6878 0.1876 0.1876
Ni: 0.6878 0.1876 0.9371
Ni: 0.6884 0.6884 0.6884
Ni: 0.6884 0.6884 0.9349
Ni: 0.6884 0.9349 0.6884
Ni: 0.6878 0.9371 0.1876
Ni: 0.6929 0.1734 0.4409
Ni: 0.6929 0.1734 0.6929
Ni: 0.6929 0.4409 0.1734
Ni: 0.6929 0.4409 0.6929
Ni: 0.6929 0.6929 0.1734
Ni: 0.6929 0.6929 0.4409
Ni: 0.9349 0.6884 0.6884
Ni: 0.9371 0.1876 0.1876
Ni: 0.9371 0.1876 0.6878
Ni: 0.9371 0.6878 0.1876

Repeat the fourth record exactly.
Calculated X-ray powder pattern of Rb2BaIrBr6 for Cu Kα, from the PBE geometry in Alexandria.

Peak list (12 most intense, 15° ≤ 2θ ≤ 90°, by angle)
d 5.624, 2θ = 15.8°, intensity 62.7
d 4.110, 2θ = 21.6°, intensity 67.1
d 3.977, 2θ = 22.4°, intensity 32.6
d 3.318, 2θ = 26.9°, intensity 37.5
d 3.011, 2θ = 29.7°, intensity 64.4
d 2.812, 2θ = 31.8°, intensity 100.0
d 2.654, 2θ = 33.8°, intensity 18.7
d 2.321, 2θ = 38.8°, intensity 23.8
d 2.055, 2θ = 44.1°, intensity 79.1
d 1.988, 2θ = 45.6°, intensity 33.3
d 1.659, 2θ = 55.4°, intensity 36.8
d 1.327, 2θ = 71.0°, intensity 21.2

Atomic structure:
a = 8.2393 Å, b = 8.2393 Å, c = 8.2393 Å
α = 122.28°, β = 122.28°, γ = 86.09°
Element x y z (fractional)
Rb: 0.2500 0.7500 0.5000
Rb: 0.7500 0.2500 0.5000
Ba: 0.0000 0.0000 0.0000
Ir: 0.5000 0.5000 0.0000
Br: 0.2610 0.2610 0.0000
Br: 0.2776 0.2776 0.5553
Br: 0.2776 0.7224 0.0000
Br: 0.7224 0.2776 0.0000
Br: 0.7224 0.7224 0.4447
Br: 0.7390 0.7390 0.0000